Entry 1:
The following is a computed powder XRD pattern of Na2CaHgSb2. It was derived from a DFT-relaxed cell (GGA-PBE, Alexandria), using Cu Kα.
Kinematic intensities with the Lorentz-polarization factor, no thermal factor.

Structure:
Lattice parameters (Å, degrees): 4.698 9.220 7.889 90.00 90.00 90.00
Space group Pmc2_1 (No. 26)
Symmetry-distinct sites (fractional):
Na (0.000, 0.078, 0.000) (multiplicity 2)
Na (0.500, 0.173, 0.317) (multiplicity 2)
Ca (0.500, 0.444, 0.938) (multiplicity 2)
Hg (0.000, 0.307, 0.595) (multiplicity 2)
Sb (0.000, 0.382, 0.220) (multiplicity 2)
Sb (0.500, 0.154, 0.717) (multiplicity 2)

Largest 12 diffraction maxima, by intensity, 2θ from 10° to 90°:
Position (°2θ), Rel. int., hkl
14.78, 100.0, 0 1 1
31.17, 76.0, 1 1 2
34.88, 69.8, 1 3 0
40.51, 56.2, 1 1 3
38.31, 44.6, 2 0 0
21.22, 44.2, 1 1 0
22.54, 39.6, 0 0 2
39.45, 38.6, 0 2 3
35.51, 38.3, 0 1 3
29.57, 37.5, 1 0 2
29.41, 35.7, 1 2 1
24.07, 33.5, 1 1 1


Entry 2:
The following is a computed powder XRD pattern of Tb2Ce2Si4Os. It was derived from a DFT-relaxed cell (GGA-PBE, Alexandria), using Cu Kα.
Kinematic intensities with the Lorentz-polarization factor, no thermal factor.

Structure:
Lattice parameters (Å, degrees): 7.077 7.077 8.031 90.00 90.00 90.00
Space group I4/mmm (No. 139)
Symmetry-distinct sites (fractional):
Tb (0.000, 0.500, 0.250) (multiplicity 4)
Ce (0.000, 0.000, 0.177) (multiplicity 4)
Si (0.243, 0.243, 0.500) (multiplicity 8)
Os (0.000, 0.000, 0.500) (multiplicity 2)

Largest 12 diffraction maxima, by intensity, 2θ from 10° to 90°:
Position (°2θ), Rel. int., hkl
35.88, 100.0, 2 2 0
25.17, 88.9, 2 0 0
44.32, 37.3, 2 1 3
58.30, 36.3, 4 2 0
51.66, 34.2, 4 0 0
28.50, 32.7, 1 1 2
33.76, 32.7, 2 0 2
76.08, 18.9, 4 4 0
46.46, 17.4, 3 1 2
84.31, 16.5, 3 1 6
64.49, 12.8, 4 1 3
73.20, 11.8, 1 1 6


Entry 3:
The following is a computed powder XRD pattern of Cs2Pb2O5. It was derived from a DFT-relaxed cell (GGA-PBE, Alexandria), using Cu Kα.
Kinematic intensities with the Lorentz-polarization factor, no thermal factor.

Structure:
Lattice parameters (Å, degrees): 12.628 4.223 7.844 90.00 98.95 90.00
Space group C2/m (No. 12)
Symmetry-distinct sites (fractional):
Cs (0.106, 0.000, 0.359) (multiplicity 4)
Pb (0.145, 0.500, 0.897) (multiplicity 4)
O (0.000, 0.500, 0.000) (multiplicity 2)
O (0.126, 0.500, 0.635) (multiplicity 4)
O (0.181, 0.000, 0.993) (multiplicity 4)

Largest 12 diffraction maxima, by intensity, 2θ from 10° to 90°:
Position (°2θ), Rel. int., hkl
25.57, 100.0, 1 1 1
31.10, 51.6, 3 1 -1
25.10, 50.4, 2 0 -2
28.62, 33.1, 4 0 0
40.62, 28.2, 1 1 -3
28.96, 26.1, 2 0 2
11.42, 25.3, 0 0 1
51.55, 23.3, 4 0 -4
42.83, 16.8, 0 2 0
50.29, 15.8, 2 2 -2
45.30, 13.1, 5 1 1
52.33, 12.4, 4 2 0


Entry 4:
The following is a computed powder XRD pattern of Mn6Mo. It was derived from a DFT-relaxed cell (GGA-PBE, Alexandria), using Cu Kα.
Kinematic intensities with the Lorentz-polarization factor, no thermal factor.

Structure:
Lattice parameters (Å, degrees): 7.605 4.555 9.611 90.00 90.00 90.00
Space group Pnma (No. 62)
Symmetry-distinct sites (fractional):
Mn (0.051, 0.250, 0.075) (multiplicity 4)
Mn (0.074, 0.512, 0.307) (multiplicity 8)
Mn (0.094, 0.750, 0.523) (multiplicity 4)
Mn (0.135, 0.250, 0.849) (multiplicity 4)
Mn (0.189, 0.750, 0.755) (multiplicity 4)
Mo (0.244, 0.750, 0.063) (multiplicity 4)

Largest 12 diffraction maxima, by intensity, 2θ from 10° to 90°:
Position (°2θ), Rel. int., hkl
41.86, 100.0, 3 1 1
39.33, 35.1, 1 0 4
48.85, 23.8, 4 0 1
47.49, 21.0, 2 2 1
73.35, 20.8, 3 3 1
50.62, 17.2, 1 2 3
39.57, 16.9, 0 2 0
44.00, 14.9, 0 2 2
49.11, 14.5, 2 1 4
73.03, 10.0, 4 1 5
46.48, 9.9, 2 2 0
40.22, 9.9, 3 0 2


Entry 5:
The following is a computed powder XRD pattern of Cs2Li2B2P4O15. It was derived from a DFT-relaxed cell (GGA-PBE, Alexandria), using Cu Kα.
Kinematic intensities with the Lorentz-polarization factor, no thermal factor.

Structure:
Lattice parameters (Å, degrees): 7.190 7.936 14.232 86.37 76.24 66.76
Space group P-1 (No. 2)
Symmetry-distinct sites (fractional):
Cs (0.102, 0.240, 0.350) (multiplicity 2)
Cs (0.282, 0.811, 0.867) (multiplicity 2)
Li (0.222, 0.225, 0.010) (multiplicity 2)
Li (0.290, 0.256, 0.777) (multiplicity 2)
B (0.132, 0.724, 0.284) (multiplicity 2)
B (0.467, 0.755, 0.509) (multiplicity 2)
P (0.162, 0.582, 0.109) (multiplicity 2)
P (0.267, 0.105, 0.599) (multiplicity 2)
P (0.343, 0.844, 0.127) (multiplicity 2)
P (0.479, 0.529, 0.359) (multiplicity 2)
O (0.024, 0.185, 0.628) (multiplicity 2)
O (0.026, 0.679, 0.041) (multiplicity 2)
O (0.037, 0.666, 0.217) (multiplicity 2)
O (0.214, 0.997, 0.073) (multiplicity 2)
O (0.225, 0.856, 0.238) (multiplicity 2)
O (0.251, 0.376, 0.108) (multiplicity 2)
O (0.290, 0.556, 0.314) (multiplicity 2)
O (0.316, 0.947, 0.524) (multiplicity 2)
O (0.319, 0.259, 0.536) (multiplicity 2)
O (0.336, 0.461, 0.713) (multiplicity 2)
O (0.359, 0.646, 0.091) (multiplicity 2)
O (0.371, 0.050, 0.682) (multiplicity 2)
O (0.388, 0.668, 0.447) (multiplicity 2)
O (0.436, 0.174, 0.881) (multiplicity 2)
O (0.464, 0.671, 0.604) (multiplicity 2)

Largest 12 diffraction maxima, by intensity, 2θ from 10° to 90°:
Position (°2θ), Rel. int., hkl
25.79, 100.0, 0 0 4
23.69, 95.7, -1 1 1
28.45, 91.5, 1 2 3
26.62, 89.5, 1 -1 3
24.42, 71.9, 0 2 0
27.00, 71.1, 2 0 1
25.54, 53.3, 2 1 0
26.30, 41.1, 1 1 -3
27.46, 40.0, 1 2 -2
20.96, 38.4, 1 0 3
23.14, 37.6, 1 2 1
31.61, 32.0, 1 2 -3


Entry 6:
The following is a computed powder XRD pattern of PuP2AuO8. It was derived from a DFT-relaxed cell (GGA-PBE, Alexandria), using Cu Kα.
Kinematic intensities with the Lorentz-polarization factor, no thermal factor.

Structure:
Lattice parameters (Å, degrees): 9.429 5.641 8.731 90.00 106.01 90.00
Space group C2/m (No. 12)
Symmetry-distinct sites (fractional):
Pu (0.000, 0.000, 0.000) (multiplicity 2)
P (0.207, 0.500, 0.206) (multiplicity 4)
Au (0.000, 0.000, 0.500) (multiplicity 2)
O (0.107, 0.277, 0.165) (multiplicity 8)
O (0.184, 0.000, 0.900) (multiplicity 4)
O (0.215, 0.000, 0.616) (multiplicity 4)

Largest 12 diffraction maxima, by intensity, 2θ from 10° to 90°:
Position (°2θ), Rel. int., hkl
18.53, 100.0, 1 1 0
26.12, 43.3, 1 1 -2
30.30, 40.9, 1 1 2
24.62, 39.8, 2 0 -2
19.58, 29.1, 2 0 0
21.17, 25.4, 0 0 2
33.65, 23.9, 3 1 0
44.53, 21.7, 1 1 -4
31.72, 18.7, 0 2 0
38.46, 16.3, 0 2 2
35.25, 16.3, 3 1 -2
51.69, 14.9, 5 1 -2


Question: Which formula does entry 1 have?
Answer: Na2CaHgSb2


Copy entry 2 word for word.
The following is a computed powder XRD pattern of Tb2Ce2Si4Os. It was derived from a DFT-relaxed cell (GGA-PBE, Alexandria), using Cu Kα.
Kinematic intensities with the Lorentz-polarization factor, no thermal factor.

Structure:
Lattice parameters (Å, degrees): 7.077 7.077 8.031 90.00 90.00 90.00
Space group I4/mmm (No. 139)
Symmetry-distinct sites (fractional):
Tb (0.000, 0.500, 0.250) (multiplicity 4)
Ce (0.000, 0.000, 0.177) (multiplicity 4)
Si (0.243, 0.243, 0.500) (multiplicity 8)
Os (0.000, 0.000, 0.500) (multiplicity 2)

Largest 12 diffraction maxima, by intensity, 2θ from 10° to 90°:
Position (°2θ), Rel. int., hkl
35.88, 100.0, 2 2 0
25.17, 88.9, 2 0 0
44.32, 37.3, 2 1 3
58.30, 36.3, 4 2 0
51.66, 34.2, 4 0 0
28.50, 32.7, 1 1 2
33.76, 32.7, 2 0 2
76.08, 18.9, 4 4 0
46.46, 17.4, 3 1 2
84.31, 16.5, 3 1 6
64.49, 12.8, 4 1 3
73.20, 11.8, 1 1 6